# 1
# VP2O7
Simulated powder diffraction line list, Cu Ka. Input: a cell relaxed with GGA+U.
Kinematic intensities with the Lorentz-polarization factor, no thermal factor.

```
VP2O7
1.0
6.367 0.000 0.000
2.686 9.092 0.000
0.846 4.476 9.567
V P O
4 8 28
direct
0.000 0.000 0.000
0.103 0.407 0.979
0.358 0.404 0.464
0.461 0.811 0.443
0.040 0.108 0.255
0.139 0.227 0.761
0.323 0.584 0.683
0.421 0.703 0.188
0.622 0.355 0.920
0.675 0.089 0.441
0.786 0.722 0.002
0.839 0.456 0.523
0.000 0.011 0.170
0.003 0.577 0.026
0.048 0.435 0.441
0.089 0.054 0.813
0.124 0.253 0.164
0.133 0.556 0.777
0.157 0.234 0.904
0.180 0.973 0.388
0.277 0.825 0.059
0.304 0.577 0.540
0.328 0.255 0.666
0.337 0.558 0.279
0.372 0.757 0.630
0.414 0.376 0.002
0.458 0.234 0.417
0.462 0.800 0.273
0.540 0.449 0.763
0.605 0.959 0.404
0.656 0.643 0.135
0.665 0.788 0.867
0.676 0.381 0.496
0.720 0.180 0.940
0.741 0.631 0.503
0.789 0.417 0.956
0.798 0.009 0.580
0.805 0.168 0.308
0.856 0.852 0.039
0.921 0.362 0.680
```

Largest 8 diffraction maxima, by angle, 10° ≤ 2θ ≤ 90°:
- 2θ 10.8, rel. 100.0
- 2θ 16.9, rel. 51.9
- 2θ 17.6, rel. 48.8
- 2θ 18.5, rel. 52.7
- 2θ 20.4, rel. 35.4
- 2θ 20.8, rel. 24.9
- 2θ 21.7, rel. 34.3
- 2θ 23.1, rel. 90.2

# 2
# V3P6O20
Simulated powder diffraction line list, Cu Ka. Input: a cell relaxed with GGA+U.
Kinematic intensities with the Lorentz-polarization factor, no thermal factor.

```
V3P6O20
1.0
12.652 0.000 0.000
0.000 6.886 5.074
0.000 -6.886 5.074
V P O
6 12 40
direct
0.000 0.000 0.000
0.212 0.417 0.961
0.288 0.917 0.461
0.500 0.500 0.500
0.712 0.461 0.917
0.788 0.961 0.417
0.051 0.015 0.386
0.195 0.280 0.542
0.218 0.006 0.861
0.282 0.506 0.361
0.305 0.780 0.042
0.449 0.515 0.886
0.551 0.886 0.515
0.695 0.042 0.780
0.718 0.361 0.506
0.782 0.861 0.006
0.805 0.542 0.280
0.949 0.386 0.015
0.057 0.005 0.203
0.059 0.443 0.990
0.080 0.205 0.484
0.111 0.915 0.851
0.133 0.904 0.427
0.191 0.355 0.724
0.200 0.426 0.461
0.205 0.183 0.961
0.221 0.655 0.971
0.232 0.478 0.195
0.268 0.978 0.695
0.279 0.155 0.471
0.295 0.683 0.461
0.300 0.926 0.961
0.309 0.855 0.224
0.367 0.404 0.927
0.389 0.415 0.351
0.420 0.705 0.984
0.441 0.943 0.490
0.443 0.505 0.703
0.557 0.703 0.505
0.559 0.490 0.943
0.580 0.984 0.705
0.611 0.351 0.415
0.633 0.927 0.404
0.691 0.224 0.855
0.700 0.961 0.926
0.705 0.461 0.683
0.721 0.471 0.155
0.732 0.695 0.978
0.768 0.195 0.478
0.779 0.971 0.655
0.795 0.961 0.183
0.800 0.461 0.426
0.809 0.724 0.355
0.867 0.427 0.904
0.889 0.851 0.915
0.920 0.484 0.205
0.941 0.990 0.443
0.943 0.203 0.005
```

Largest 8 diffraction maxima, by angle, 10° ≤ 2θ ≤ 90°:
- 2θ 12.9, rel. 75.2
- 2θ 14.0, rel. 43.0
- 2θ 17.7, rel. 15.1
- 2θ 21.8, rel. 100.0
- 2θ 22.4, rel. 43.1
- 2θ 30.3, rel. 27.9
- 2θ 34.5, rel. 13.4
- 2θ 44.4, rel. 14.2

# 3
# V3P6O20
Simulated powder diffraction line list, Cu Ka. Input: a cell relaxed with GGA+U.
Kinematic intensities with the Lorentz-polarization factor, no thermal factor.

```
V3P6O20
1.0
5.127 -6.703 0.000
5.127 6.703 0.000
0.000 0.000 12.346
V P O
6 12 40
direct
0.205 0.795 0.750
0.262 0.738 0.250
0.360 0.360 0.000
0.640 0.640 0.500
0.738 0.262 0.750
0.795 0.205 0.250
0.130 0.408 0.681
0.199 0.321 0.224
0.243 0.650 0.515
0.321 0.199 0.776
0.350 0.757 0.985
0.408 0.130 0.319
0.592 0.870 0.819
0.650 0.243 0.485
0.679 0.801 0.276
0.757 0.350 0.015
0.801 0.679 0.724
0.870 0.592 0.181
0.028 0.236 0.263
0.029 0.718 0.202
0.140 0.467 0.557
0.173 0.555 0.756
0.192 0.659 0.398
0.198 0.774 0.589
0.226 0.802 0.911
0.236 0.028 0.737
0.240 0.244 0.116
0.240 0.505 0.211
0.244 0.240 0.884
0.279 0.322 0.686
0.282 0.971 0.298
0.322 0.279 0.314
0.341 0.808 0.102
0.352 0.574 0.974
0.426 0.648 0.526
0.445 0.827 0.744
0.467 0.140 0.443
0.495 0.760 0.289
0.505 0.240 0.789
0.533 0.860 0.943
0.555 0.173 0.244
0.574 0.352 0.026
0.648 0.426 0.474
0.659 0.192 0.602
0.678 0.721 0.814
0.718 0.029 0.798
0.721 0.678 0.186
0.756 0.760 0.384
0.760 0.495 0.711
0.760 0.756 0.616
0.764 0.972 0.237
0.774 0.198 0.411
0.802 0.226 0.089
0.808 0.341 0.898
0.827 0.445 0.256
0.860 0.533 0.057
0.971 0.282 0.702
0.972 0.764 0.763
```

Largest 8 diffraction maxima, by angle, 10° ≤ 2θ ≤ 90°:
- 2θ 10.9, rel. 41.9
- 2θ 14.3, rel. 45.4
- 2θ 18.0, rel. 51.1
- 2θ 21.8, rel. 100.0
- 2θ 22.9, rel. 40.3
- 2θ 23.0, rel. 37.6
- 2θ 28.9, rel. 28.0
- 2θ 32.7, rel. 23.1

# 4
# VP2O7
Simulated powder diffraction line list, Cu Ka. Input: a cell relaxed with GGA+U.
Kinematic intensities with the Lorentz-polarization factor, no thermal factor.

```
VP2O7
1.0
7.788 -2.164 0.000
7.788 2.164 0.000
-6.015 0.000 7.841
V P O
2 4 14
direct
0.235 0.765 0.750
0.765 0.235 0.250
0.167 0.175 0.156
0.175 0.167 0.656
0.825 0.833 0.344
0.833 0.825 0.844
0.004 0.514 0.194
0.009 0.730 0.511
0.056 0.759 0.823
0.241 0.944 0.677
0.270 0.991 0.989
0.388 0.612 0.250
0.486 0.996 0.306
0.514 0.004 0.694
0.612 0.388 0.750
0.730 0.009 0.011
0.759 0.056 0.323
0.944 0.241 0.177
0.991 0.270 0.489
0.996 0.486 0.806
```

Largest 8 diffraction maxima, by angle, 10° ≤ 2θ ≤ 90°:
- 2θ 21.8, rel. 41.8
- 2θ 22.4, rel. 46.2
- 2θ 22.7, rel. 70.1
- 2θ 23.4, rel. 100.0
- 2θ 26.6, rel. 30.0
- 2θ 26.9, rel. 23.5
- 2θ 28.2, rel. 24.1
- 2θ 29.9, rel. 49.9

# 5
# VP2O7
Simulated powder diffraction line list, Cu Ka. Input: a cell relaxed with GGA+U.
Kinematic intensities with the Lorentz-polarization factor, no thermal factor.

```
VP2O7
1.0
6.955 0.000 0.000
0.000 8.587 0.000
-2.856 0.000 8.922
V P O
4 8 28
direct
0.204 0.078 0.306
0.204 0.422 0.806
0.796 0.578 0.194
0.796 0.922 0.694
0.024 0.714 0.964
0.024 0.786 0.464
0.405 0.744 0.246
0.405 0.756 0.746
0.595 0.244 0.254
0.595 0.256 0.754
0.976 0.214 0.536
0.976 0.286 0.036
0.020 0.127 0.120
0.020 0.373 0.620
0.022 0.583 0.855
0.022 0.917 0.355
0.135 0.197 0.452
0.135 0.303 0.952
0.239 0.723 0.081
0.239 0.777 0.581
0.372 0.578 0.783
0.372 0.922 0.283
0.374 0.633 0.356
0.374 0.867 0.856
0.394 0.236 0.290
0.394 0.264 0.790
0.606 0.736 0.210
0.606 0.764 0.710
0.626 0.133 0.144
0.626 0.367 0.644
0.628 0.078 0.717
0.628 0.422 0.217
0.761 0.223 0.419
0.761 0.277 0.919
0.865 0.697 0.048
0.865 0.803 0.548
0.978 0.083 0.645
0.978 0.417 0.145
0.980 0.627 0.380
0.980 0.873 0.880
```

Largest 8 diffraction maxima, by angle, 10° ≤ 2θ ≤ 90°:
- 2θ 14.3, rel. 47.0
- 2θ 19.9, rel. 46.7
- 2θ 20.7, rel. 53.6
- 2θ 21.6, rel. 100.0
- 2θ 23.0, rel. 43.8
- 2θ 27.3, rel. 96.3
- 2θ 29.2, rel. 97.5
- 2θ 30.1, rel. 75.0